The following is a computed PXRD pattern of Fe3Te2Cl2. It was derived from a DFT-relaxed cell (GGA-PBE, OQMD), using CuKα.
Lines closer than 0.1° are merged.

Structure:
Lattice parameters (Å, degrees): 8.3217 8.3217 8.3217 90.00 90.00 90.00
Space group I2_13 (No. 199)
Symmetry-distinct sites (fractional):
Fe1 0.0000 0.2500 0.7330 x12
Te1 0.0127 0.4873 0.5127 x8
Cl1 0.2156 0.2156 0.2156 x8

Principal peaks in the range 10 to 90 degrees two-theta, most intense first:
2theta  I_rel
30.4  100
37.4  83
43.5  64
15.1  46
63.2  34
54.0  30

The following is a computed PXRD pattern of Li2Os5. It was derived from a DFT-relaxed cell (GGA-PBE, OQMD), using CuKα.
Lines closer than 0.1° are merged.

Structure:
Lattice parameters (Å, degrees): 4.1787 4.1787 20.4591 90.00 90.00 120.00
Space group R3m (No. 160, hexagonal axes)
Symmetry-distinct sites (fractional):
Li1 0.0000 0.0000 0.0000 x3
Li2 0.0000 0.0000 0.4851 x3
Os1 0.0000 0.0000 0.2401 x3
Os2 0.0000 0.0000 0.3652 x3
Os3 0.0000 0.0000 0.6129 x3
Os4 0.0000 0.0000 0.7456 x3
Os5 0.0000 0.0000 0.8623 x3

Principal peaks in the range 10 to 90 degrees two-theta, most intense first:
2theta  I_rel
43.3  100
26.1  48
79.5  34
51.3  23
62.9  17
13.0  10

The following is a computed PXRD pattern of RbAs5Os3. It was derived from a DFT-relaxed cell (GGA-PBE, OQMD), using CuKα.
Lines closer than 0.1° are merged.

Structure:
Lattice parameters (Å, degrees): 5.6056 5.6056 7.6005 90.00 90.00 120.00
Space group P6/mmm (No. 191)
Symmetry-distinct sites (fractional):
Rb1 0.0000 0.0000 0.0000 x1
As1 0.0000 0.0000 0.5000 x1
As2 0.3333 0.6667 0.2466 x4
Os1 0.0000 0.5000 0.5000 x3

Principal peaks in the range 10 to 90 degrees two-theta, most intense first:
2theta  I_rel
11.6  100
44.3  61
39.0  35
37.0  21
21.7  19
52.2  15

The following is a computed PXRD pattern of CuAg. It was derived from a DFT-relaxed cell (GGA-PBE, OQMD), using CuKα.
Lines closer than 0.1° are merged.

Structure:
Lattice parameters (Å, degrees): 2.7840 2.7840 53.5663 90.00 90.00 120.00
Space group R-3m (No. 166, hexagonal axes)
Symmetry-distinct sites (fractional):
Cu1 0.0000 0.0000 0.1245 x6
Cu2 0.0000 0.0000 0.2457 x6
Ag1 0.0000 0.0000 0.0000 x3
Ag2 0.0000 0.0000 0.3795 x6
Ag3 0.0000 0.0000 0.5000 x3

Principal peaks in the range 10 to 90 degrees two-theta, most intense first:
2theta  I_rel
39.7  100
46.4  58
40.4  26
67.3  20
81.5  18
68.2  13

The following is a computed PXRD pattern of Y2Ho2CI3Cl2. It was derived from a DFT-relaxed cell (GGA-PBE, OQMD), using CuKα.
Lines closer than 0.1° are merged.

Structure:
Lattice parameters (Å, degrees): 18.2035 3.8782 8.4120 90.00 100.09 90.00
Space group C2/m (No. 12)
Symmetry-distinct sites (fractional):
Y1 0.1343 0.0000 0.0645 x4
Ho1 0.0020 0.5000 0.8100 x4
C1 0.0000 0.0000 0.0000 x2
I1 0.0000 0.0000 0.5000 x2
I2 0.1744 0.5000 0.8068 x4
Cl1 0.1485 0.5000 0.2979 x4

Principal peaks in the range 10 to 90 degrees two-theta, most intense first:
2theta  I_rel
31.4  100
29.9  52
10.7  49
43.0  37
34.4  29
26.2  28

The following is a computed PXRD pattern of LaZrAl2Pd4. It was derived from a DFT-relaxed cell (GGA-PBE, OQMD), using CuKα.
Lines closer than 0.1° are merged.

Structure:
Lattice parameters (Å, degrees): 4.3782 4.3782 9.1324 90.00 90.00 120.00
Space group P-6m2 (No. 187)
Symmetry-distinct sites (fractional):
La1 0.0000 0.0000 0.0000 x1
Zr1 0.3333 0.6667 0.5000 x1
Al1 0.6667 0.3333 0.2767 x2
Pd1 0.0000 0.0000 0.3447 x2
Pd2 0.3333 0.6667 0.1898 x2

Principal peaks in the range 10 to 90 degrees two-theta, most intense first:
2theta  I_rel
37.9  100
41.2  66
23.5  45
57.2  30
73.0  28
76.2  12

The following is a computed PXRD pattern of Li6Pt4O11. It was derived from a DFT-relaxed cell (GGA-PBE, OQMD), using CuKα.
Lines closer than 0.1° are merged.

Structure:
Lattice parameters (Å, degrees): 5.1303 5.1993 8.6661 83.82 74.33 81.69
Space group P1 (No. 1)
Symmetry-distinct sites (fractional):
Li1 0.0000 0.0000 0.0000 x1
Li2 0.0377 0.2669 0.4817 x1
Li3 0.5029 0.2354 0.0790 x1
Li4 0.5528 0.4743 0.5191 x1
Li5 0.6411 0.7546 0.9164 x1
Li6 0.9157 0.7716 0.5963 x1
Pt1 0.2077 0.4871 0.8486 x1
Pt2 0.2902 0.7608 0.2728 x1
Pt3 0.3661 0.0006 0.6672 x1
Pt4 0.8719 0.4784 0.1957 x1
O1 0.0213 0.8427 0.8005 x1
O2 0.1815 0.3742 0.6430 x1
O3 0.2493 0.5661 0.0755 x1
O4 0.2569 0.9357 0.4687 x1
O5 0.3825 0.1100 0.8816 x1
O6 0.4966 0.4038 0.3050 x1
O7 0.5488 0.6431 0.7181 x1
O8 0.6427 0.8721 0.1350 x1
O9 0.7093 0.1185 0.5544 x1
O10 0.8487 0.3694 0.9839 x1
O11 0.9404 0.6101 0.3896 x1

Principal peaks in the range 10 to 90 degrees two-theta, most intense first:
2theta  I_rel
21.0  100
26.6  92
21.4  80
18.1  79
18.5  75
36.6  62

The following is a computed PXRD pattern of LaAgTe3Pb. It was derived from a DFT-relaxed cell (GGA-PBE, OQMD), using CuKα.
Lines closer than 0.1° are merged.

Structure:
Lattice parameters (Å, degrees): 14.8085 4.4582 12.0524 90.00 90.00 90.00
Space group Pnma (No. 62)
Symmetry-distinct sites (fractional):
La1 0.0114 0.2500 0.1765 x4
Ag1 0.0056 0.7500 0.4159 x4
Te1 0.1150 0.2500 0.9392 x4
Te2 0.1199 0.7500 0.6150 x4
Te3 0.1512 0.7500 0.2592 x4
Pb1 0.2187 0.2500 0.4491 x4

Principal peaks in the range 10 to 90 degrees two-theta, most intense first:
2theta  I_rel
28.0  100
30.8  93
32.3  79
40.5  62
27.7  46
25.2  41

The following is a computed PXRD pattern of Mo3AuN5. It was derived from a DFT-relaxed cell (GGA-PBE, OQMD), using CuKα.
Lines closer than 0.1° are merged.

Structure:
Lattice parameters (Å, degrees): 5.3659 5.3659 4.2088 90.00 90.00 120.00
Space group P6/mmm (No. 191)
Symmetry-distinct sites (fractional):
Mo1 0.0000 0.5000 0.0000 x3
Au1 0.0000 0.0000 0.5000 x1
N1 0.0000 0.0000 0.0000 x1
N2 0.3333 0.6667 0.3446 x4

Principal peaks in the range 10 to 90 degrees two-theta, most intense first:
2theta  I_rel
28.6  100
38.8  73
39.8  57
59.2  47
56.8  31
70.1  26

The following is a computed PXRD pattern of AgOs2O4. It was derived from a DFT-relaxed cell (GGA-PBE, OQMD), using CuKα.
Lines closer than 0.1° are merged.

Structure:
Lattice parameters (Å, degrees): 8.9516 8.9516 8.9516 90.00 90.00 90.00
Space group Fd-3m (No. 227, origin choice 2)
Symmetry-distinct sites (fractional):
Ag1 0.1250 0.1250 0.1250 x8
Os1 0.0000 0.0000 0.5000 x16
O1 0.0214 0.0214 0.7286 x32

Principal peaks in the range 10 to 90 degrees two-theta, most intense first:
2theta  I_rel
33.2  100
34.7  42
58.3  40
53.2  39
17.2  35
40.3  22

The following is a computed PXRD pattern of SmY2Sn7. It was derived from a DFT-relaxed cell (GGA-PBE, OQMD), using CuKα.
Lines closer than 0.1° are merged.

Structure:
Lattice parameters (Å, degrees): 4.4213 26.6070 4.4779 90.00 90.00 90.00
Space group Cmmm (No. 65)
Symmetry-distinct sites (fractional):
Sm1 0.0000 0.0000 0.0000 x2
Y1 0.0000 0.3113 0.5000 x4
Sn1 0.0000 0.0962 0.5000 x4
Sn2 0.0000 0.2114 0.0000 x4
Sn3 0.0000 0.4033 0.0000 x4
Sn4 0.0000 0.5000 0.5000 x2

Principal peaks in the range 10 to 90 degrees two-theta, most intense first:
2theta  I_rel
33.1  100
69.4  23
33.7  20
40.3  15
40.8  15
68.7  13

The following is a computed PXRD pattern of Gd2ZrSe5. It was derived from a DFT-relaxed cell (GGA-PBE, OQMD), using CuKα.
Lines closer than 0.1° are merged.

Structure:
Lattice parameters (Å, degrees): 12.2040 8.1482 7.6470 90.00 90.00 90.00
Space group Pnma (No. 62)
Symmetry-distinct sites (fractional):
Gd1 0.1792 0.0043 0.0243 x8
Zr1 0.0065 0.7500 0.5800 x4
Se1 0.0032 0.7500 0.9497 x4
Se2 0.0941 0.0385 0.6620 x8
Se3 0.1802 0.7500 0.3303 x4
Se4 0.2086 0.2500 0.3110 x4

Principal peaks in the range 10 to 90 degrees two-theta, most intense first:
2theta  I_rel
35.4  100
33.3  83
44.5  60
33.0  54
44.9  46
24.8  40

The following is a computed PXRD pattern of Rb2Zn2SbAs. It was derived from a DFT-relaxed cell (GGA-PBE, OQMD), using CuKα.
Lines closer than 0.1° are merged.

Structure:
Lattice parameters (Å, degrees): 4.4618 4.4618 11.1765 90.00 90.00 120.00
Space group P-6m2 (No. 187)
Symmetry-distinct sites (fractional):
Rb1 0.0000 0.0000 0.2428 x2
Zn1 0.3333 0.6667 0.5000 x1
Zn2 0.6667 0.3333 0.0000 x1
Sb1 0.6667 0.3333 0.5000 x1
As1 0.3333 0.6667 0.0000 x1

Principal peaks in the range 10 to 90 degrees two-theta, most intense first:
2theta  I_rel
28.1  100
40.4  41
52.5  37
32.0  26
49.9  20
66.1  17